This entry pairs a crystal structure of PmV2AgO6 with its computed powder X-ray diffraction pattern. Radiation: a wavelength of 1.5418 Å. Structure: a structure optimized by DFT (GGA+U).
Peak positions follow from Bragg's law for the DFT cell and can differ from measured ones.

Structural model:
```
data_PmV2AgO6
_space_group_name_H-M_alt 'C 1 2/c 1'
_space_group_IT_number 15
_cell_length_a 9.467
_cell_length_b 10.845
_cell_length_c 6.495
_cell_angle_alpha 90.00
_cell_angle_beta 116.85
_cell_angle_gamma 90.00
loop_
_space_group_symop_operation_xyz
'x,y,z'
'-x,-y,-z'
'-x,y,-z+1/2'
'x,-y,z+1/2'
'x+1/2,y+1/2,z'
'-x+1/2,-y+1/2,-z'
'-x+1/2,y+1/2,-z+1/2'
'x+1/2,-y+1/2,z+1/2'
loop_
_atom_site_label
_atom_site_type_symbol
_atom_site_fract_x
_atom_site_fract_y
_atom_site_fract_z
_atom_site_occupancy
Pm1 Pm 0.000 0.089 0.250 1
V1 V 0.134 0.420 0.187 1
Ag1 Ag 0.000 0.229 0.750 1
O1 O 0.107 0.458 0.456 1
O2 O 0.116 0.262 0.130 1
O3 O 0.144 0.054 0.653 1
```

Most intense lines, 2θ = 10–90°, low angle first:
(hkl), two_theta, I (rel.)
1 1 0, 13.29, 29.2
2 0 0, 21.04, 69.3
2 2 -1, 25.66, 28.9
1 3 -1, 28.48, 100.0
1 1 -2, 28.89, 19.9
0 0 2, 30.86, 42.0
3 1 0, 32.88, 31.7
1 3 1, 33.38, 50.2
3 1 -2, 33.90, 20.8
3 3 -1, 37.86, 25.2
2 4 -1, 38.73, 19.5
2 0 2, 45.25, 18.2